Computed powder XRD pattern of YZnCuAs2 for Cu Kα X-rays, from a PBE-relaxed structure.
No peak broadening, texture or thermal motion is included.

Principal peaks in the range 2θ = 10–90°, low angle first:
2θ = 28.3°, d 3.152, rel. 97; 2θ = 36.7°, d 2.449, rel. 99; 2θ = 44.0°, d 2.059, rel. 100; 2θ = 47.9°, d 1.900, rel. 48; 2θ = 53.1°, d 1.724, rel. 16; 2θ = 58.6°, d 1.576, rel. 24; 2θ = 61.1°, d 1.518, rel. 19; 2θ = 67.0°, d 1.396, rel. 17; 2θ = 76.1°, d 1.251, rel. 22; 2θ = 83.7°, d 1.156, rel. 18

Structure:
Lattice parameters (Å, degrees): 4.118 4.118 6.736 90.00 90.00 120.00
Fractional coordinates of all 5 atoms:
1 Y 0.000 0.000 0.000
2 Zn 0.667 0.333 0.394
3 Cu 0.333 0.667 0.656
4 As 0.333 0.667 0.268
5 As 0.667 0.333 0.765


Computed powder XRD pattern of Cr11NiS16 for Cu Kα X-rays, from a PBE-relaxed structure.
No peak broadening, texture or thermal motion is included.

Principal peaks in the range 2θ = 10–90°, low angle first:
2θ = 15.8°, d 5.592, rel. 46; 2θ = 16.9°, d 5.244, rel. 49; 2θ = 29.9°, d 2.989, rel. 54; 2θ = 33.8°, d 2.651, rel. 100; 2θ = 34.2°, d 2.622, rel. 69; 2θ = 44.0°, d 2.056, rel. 96; 2θ = 44.7°, d 2.028, rel. 80; 2θ = 44.8°, d 2.022, rel. 50; 2θ = 52.8°, d 1.735, rel. 83; 2θ = 53.2°, d 1.722, rel. 43

Structure:
Lattice parameters (Å, degrees): 6.943 8.129 8.246 93.80 91.28 90.55
Fractional coordinates of all 28 atoms:
1 Cr 0.000 0.000 0.000
2 Cr 0.015 0.735 0.732
3 Cr 0.240 0.011 0.519
4 Cr 0.254 0.746 0.254
5 Cr 0.262 0.490 0.979
6 Cr 0.487 0.753 0.763
7 Cr 0.513 0.247 0.237
8 Cr 0.738 0.510 0.021
9 Cr 0.746 0.254 0.746
10 Cr 0.760 0.989 0.481
11 Cr 0.985 0.265 0.268
12 Ni 0.500 0.500 0.500
13 S 0.009 0.703 0.032
14 S 0.009 0.794 0.457
15 S 0.242 0.047 0.220
16 S 0.244 0.954 0.795
17 S 0.258 0.452 0.279
18 S 0.259 0.541 0.703
19 S 0.492 0.705 0.043
20 S 0.492 0.797 0.470
21 S 0.508 0.203 0.530
22 S 0.508 0.295 0.957
23 S 0.741 0.459 0.297
24 S 0.742 0.548 0.721
25 S 0.756 0.046 0.205
26 S 0.758 0.953 0.780
27 S 0.991 0.206 0.543
28 S 0.991 0.297 0.968


Computed powder XRD pattern of TlBiS2 for Cu Kα X-rays, from a PBE-relaxed structure.
No peak broadening, texture or thermal motion is included.

Principal peaks in the range 2θ = 10–90°, low angle first:
2θ = 23.9°, d 3.730, rel. 30; 2θ = 26.0°, d 3.422, rel. 70; 2θ = 29.5°, d 3.024, rel. 100; 2θ = 40.9°, d 2.208, rel. 40; 2θ = 43.6°, d 2.075, rel. 35; 2θ = 47.9°, d 1.900, rel. 16; 2θ = 50.3°, d 1.813, rel. 26; 2θ = 53.6°, d 1.711, rel. 19; 2θ = 67.5°, d 1.387, rel. 17; 2θ = 71.5°, d 1.320, rel. 16

Structure:
Lattice parameters (Å, degrees): 4.150 4.150 22.383 90.00 90.00 120.00
Fractional coordinates of all 12 atoms:
1 Tl 0.000 0.000 0.000
2 Tl 0.333 0.667 0.667
3 Tl 0.667 0.333 0.333
4 Bi 0.000 0.000 0.500
5 Bi 0.333 0.667 0.167
6 Bi 0.667 0.333 0.833
7 S 0.000 0.000 0.237
8 S 0.000 0.000 0.763
9 S 0.333 0.667 0.430
10 S 0.333 0.667 0.904
11 S 0.667 0.333 0.096
12 S 0.667 0.333 0.570


Computed powder XRD pattern of NaCaZrSbO6 for Cu Kα X-rays, from a PBE-relaxed structure.
No peak broadening, texture or thermal motion is included.

Principal peaks in the range 2θ = 10–90°, low angle first:
2θ = 21.9°, d 4.062, rel. 67; 2θ = 31.1°, d 2.872, rel. 100; 2θ = 44.6°, d 2.031, rel. 41; 2θ = 50.2°, d 1.817, rel. 27; 2θ = 55.4°, d 1.658, rel. 39; 2θ = 64.9°, d 1.436, rel. 24; 2θ = 69.4°, d 1.354, rel. 12; 2θ = 73.8°, d 1.284, rel. 16; 2θ = 82.2°, d 1.173, rel. 8; 2θ = 86.4°, d 1.127, rel. 6

Structure:
Lattice parameters (Å, degrees): 5.744 5.744 5.744 60.00 60.00 60.00
Fractional coordinates of all 10 atoms:
1 Na 0.000 0.000 0.000
2 Ca 0.500 0.500 0.500
3 Zr 0.750 0.750 0.750
4 Sb 0.250 0.250 0.250
5 O 0.006 0.006 0.494
6 O 0.006 0.494 0.006
7 O 0.006 0.494 0.494
8 O 0.494 0.006 0.006
9 O 0.494 0.006 0.494
10 O 0.494 0.494 0.006


Computed powder XRD pattern of CeSnPt for Cu Kα X-rays, from a PBE-relaxed structure.
No peak broadening, texture or thermal motion is included.

Principal peaks in the range 2θ = 10–90°, low angle first:
2θ = 25.1°, d 3.543, rel. 15; 2θ = 31.7°, d 2.821, rel. 32; 2θ = 32.8°, d 2.728, rel. 100; 2θ = 38.1°, d 2.361, rel. 20; 2θ = 38.6°, d 2.332, rel. 53; 2θ = 38.7°, d 2.325, rel. 35; 2θ = 46.0°, d 1.972, rel. 16; 2θ = 51.6°, d 1.770, rel. 15; 2θ = 55.5°, d 1.657, rel. 14; 2θ = 62.7°, d 1.482, rel. 17

Structure:
Lattice parameters (Å, degrees): 7.405 4.650 8.084 90.00 90.00 90.00
Fractional coordinates of all 12 atoms:
1 Ce 0.012 0.250 0.198
2 Ce 0.488 0.750 0.698
3 Ce 0.512 0.250 0.302
4 Ce 0.988 0.750 0.802
5 Sn 0.177 0.250 0.585
6 Sn 0.323 0.750 0.085
7 Sn 0.677 0.250 0.915
8 Sn 0.823 0.750 0.415
9 Pt 0.219 0.750 0.412
10 Pt 0.281 0.250 0.912
11 Pt 0.719 0.750 0.088
12 Pt 0.781 0.250 0.588


Computed powder XRD pattern of K2Be2Zn2Si3O11 for Cu Kα X-rays, from a PBE-relaxed structure.
No peak broadening, texture or thermal motion is included.

Principal peaks in the range 2θ = 10–90°, low angle first:
2θ = 10.8°, d 8.205, rel. 64; 2θ = 11.7°, d 7.590, rel. 41; 2θ = 19.7°, d 4.496, rel. 30; 2θ = 28.3°, d 3.152, rel. 55; 2θ = 28.6°, d 3.118, rel. 65; 2θ = 30.8°, d 2.899, rel. 41; 2θ = 32.7°, d 2.736, rel. 100; 2θ = 33.0°, d 2.718, rel. 42; 2θ = 35.4°, d 2.538, rel. 28; 2θ = 38.7°, d 2.324, rel. 26

Structure:
Lattice parameters (Å, degrees): 9.646 9.646 9.646 138.55 119.27 76.21
Fractional coordinates of all 40 atoms:
1 K 0.112 0.362 0.750
2 K 0.301 0.051 0.250
3 K 0.699 0.949 0.750
4 K 0.888 0.638 0.250
5 Be 0.000 0.325 0.325
6 Be 0.000 0.675 0.675
7 Be 0.500 0.325 0.825
8 Be 0.500 0.675 0.175
9 Zn 0.349 0.000 0.849
10 Zn 0.349 0.500 0.349
11 Zn 0.651 0.000 0.151
12 Zn 0.651 0.500 0.651
13 Si 0.043 0.133 0.910
14 Si 0.277 0.867 0.410
15 Si 0.347 0.597 0.750
16 Si 0.653 0.403 0.250
17 Si 0.723 0.133 0.590
18 Si 0.957 0.867 0.090
19 O 0.013 0.278 0.135
20 O 0.013 0.879 0.735
21 O 0.078 0.828 0.250
22 O 0.147 0.536 0.611
23 O 0.231 0.223 0.008
24 O 0.284 0.777 0.508
25 O 0.356 0.121 0.635
26 O 0.356 0.722 0.235
27 O 0.411 0.463 0.553
28 O 0.411 0.858 0.947
29 O 0.424 0.536 0.889
30 O 0.576 0.464 0.111
31 O 0.589 0.142 0.053
32 O 0.589 0.537 0.447
33 O 0.644 0.278 0.765
34 O 0.644 0.879 0.365
35 O 0.716 0.223 0.492
36 O 0.769 0.777 0.992
37 O 0.853 0.464 0.389
38 O 0.922 0.172 0.750
39 O 0.987 0.121 0.265
40 O 0.987 0.722 0.865


Computed powder XRD pattern of KSb2Se4 for Cu Kα X-rays, from a PBE-relaxed structure.
No peak broadening, texture or thermal motion is included.

Principal peaks in the range 2θ = 10–90°, low angle first:
2θ = 16.9°, d 5.236, rel. 46; 2θ = 26.9°, d 3.317, rel. 99; 2θ = 29.0°, d 3.077, rel. 94; 2θ = 30.2°, d 2.958, rel. 100; 2θ = 36.1°, d 2.485, rel. 36; 2θ = 38.0°, d 2.371, rel. 40; 2θ = 39.2°, d 2.298, rel. 31; 2θ = 43.5°, d 2.080, rel. 25; 2θ = 45.4°, d 1.999, rel. 28; 2θ = 48.8°, d 1.867, rel. 25

Structure:
Lattice parameters (Å, degrees): 6.935 7.041 9.469 79.54 83.01 75.85
Fractional coordinates of all 14 atoms:
1 K 0.202 0.188 0.068
2 K 0.798 0.812 0.932
3 Sb 0.147 0.189 0.544
4 Sb 0.417 0.606 0.663
5 Sb 0.583 0.394 0.337
6 Sb 0.853 0.811 0.456
7 Se 0.085 0.481 0.726
8 Se 0.214 0.853 0.379
9 Se 0.304 0.936 0.773
10 Se 0.405 0.590 0.094
11 Se 0.595 0.410 0.906
12 Se 0.696 0.064 0.227
13 Se 0.786 0.147 0.621
14 Se 0.915 0.519 0.274